Entry 1:
For Rb2LiErF6, a cell relaxed with GGA-PBE gives the simulated powder X-ray diffraction pattern in this record (Cu Kα (weighted mean of Kα1 and Kα2)).

Cell and atoms:
```
data_Rb2LiErF6
_space_group_name_H-M_alt 'I 4/m'
_space_group_IT_number 87
_space_group_name_Hall '-I 4'
_cell_length_a 5.8767
_cell_length_b 5.8767
_cell_length_c 8.3531
_cell_angle_alpha 90.00
_cell_angle_beta 90.00
_cell_angle_gamma 90.00
loop_
_atom_site_label
_atom_site_fract_x
_atom_site_fract_y
_atom_site_fract_z
Rb1 0.0000 0.5000 0.2500
Li1 0.0000 0.0000 0.0000
Er1 0.0000 0.0000 0.5000
F1 0.0000 0.0000 0.2443
F2 0.2333 0.7468 0.0000
```

The 10 most intense peaks (2θ from 10° to 90°), by intensity:
(hkl), two_theta, intensity
2 0 0, 30.37, 100.0
1 0 1, 18.46, 57.8
2 2 0, 43.56, 27.6
3 1 2, 54.01, 27.1
1 2 1, 35.82, 24.5
2 2 4, 63.12, 17.0
0 0 4, 43.33, 14.1
2 0 4, 53.86, 13.7
1 0 3, 35.68, 12.2
4 2 0, 71.82, 12.0

Entry 2:
For Na3ErF6, a cell relaxed with GGA-PBE gives the simulated powder X-ray diffraction pattern in this record (Cu Kα (weighted mean of Kα1 and Kα2)).

Cell and atoms:
```
data_Na3ErF6
_space_group_name_H-M_alt 'F m -3 m'
_space_group_IT_number 225
_space_group_name_Hall '-F 4 2 3'
_cell_length_a 8.3791
_cell_length_b 8.3791
_cell_length_c 8.3791
_cell_angle_alpha 90.00
_cell_angle_beta 90.00
_cell_angle_gamma 90.00
loop_
_atom_site_label
_atom_site_fract_x
_atom_site_fract_y
_atom_site_fract_z
Na1 0.0000 0.0000 0.0000
Na2 0.2500 0.2500 0.2500
Er1 0.0000 0.0000 0.5000
F1 0.0000 0.0000 0.2497
```

The 10 most intense peaks (2θ from 10° to 90°), by intensity:
(hkl), two_theta, intensity
1 1 1, 18.34, 100.0
2 0 0, 21.21, 91.3
2 2 0, 30.17, 90.4
3 1 1, 35.53, 58.8
4 0 0, 43.19, 53.0
4 2 0, 48.59, 38.8
4 2 2, 53.58, 37.3
4 4 0, 62.73, 31.0
3 3 1, 47.29, 26.8
3 3 3, 57.12, 20.5

Entry 3:
For ErSO4F, a cell relaxed with GGA-PBE gives the simulated powder X-ray diffraction pattern in this record (Cu Kα (weighted mean of Kα1 and Kα2)).

Cell and atoms:
```
data_ErSO4F
_space_group_name_H-M_alt 'P -1'
_space_group_IT_number 2
_cell_length_a 5.2318
_cell_length_b 5.2513
_cell_length_c 7.5779
_cell_angle_alpha 107.43
_cell_angle_beta 109.04
_cell_angle_gamma 91.75
loop_
_space_group_symop_operation_xyz
'x,y,z'
'-x,-y,-z'
loop_
_atom_site_label
_atom_site_fract_x
_atom_site_fract_y
_atom_site_fract_z
Er1 0.0000 0.0000 0.0000
Er2 0.0000 0.5000 0.5000
S1 0.4077 0.1017 0.7419
O1 0.2658 0.2122 0.5848
O2 0.2951 0.1821 0.9034
O3 0.2979 0.7988 0.1786
O4 0.3691 0.8036 0.6578
F1 0.0754 0.3667 0.2327
```

The 10 most intense peaks (2θ from 10° to 90°), by intensity:
(hkl), two_theta, intensity
1 -1 1, 27.37, 100.0
1 0 -2, 26.22, 94.3
0 1 -1, 18.39, 94.1
1 0 0, 18.12, 84.6
0 1 1, 25.51, 81.2
1 1 -1, 24.41, 73.5
1 0 2, 37.26, 36.3
2 1 -1, 39.36, 32.4
1 -2 0, 38.29, 26.6
1 1 1, 35.53, 26.2

Entry 4:
For Sr2Er2Sb2OF2, a cell relaxed with GGA-PBE gives the simulated powder X-ray diffraction pattern in this record (Cu Kα (weighted mean of Kα1 and Kα2)).

Cell and atoms:
```
data_Sr2Er2Sb2OF2
_space_group_name_H-M_alt 'I 4/m m m'
_space_group_IT_number 139
_space_group_name_Hall '-I 4 2'
_cell_length_a 4.5135
_cell_length_b 4.5135
_cell_length_c 19.7513
_cell_angle_alpha 90.00
_cell_angle_beta 90.00
_cell_angle_gamma 90.00
loop_
_atom_site_label
_atom_site_fract_x
_atom_site_fract_y
_atom_site_fract_z
Sr1 0.0000 0.0000 0.1902
Er1 0.0000 0.5000 0.0000
Sb1 0.0000 0.0000 0.3920
O1 0.0000 0.0000 0.0000
F1 0.0000 0.5000 0.2500
```

The 10 most intense peaks (2θ from 10° to 90°), by intensity:
(hkl), two_theta, intensity
1 1 4, 33.43, 100.0
1 0 5, 30.06, 74.4
2 0 0, 39.95, 62.7
1 1 2, 29.41, 54.3
2 1 5, 50.80, 33.2
2 0 10, 62.50, 30.2
3 1 4, 68.42, 24.5
0 0 10, 45.96, 23.4
2 2 0, 57.78, 20.8
1 1 6, 39.32, 19.4

Entry 5:
For ErSeO3F, a cell relaxed with GGA-PBE gives the simulated powder X-ray diffraction pattern in this record (Cu Kα (weighted mean of Kα1 and Kα2)).

Cell and atoms:
```
data_ErSeO3F
_space_group_name_H-M_alt 'P -1'
_space_group_IT_number 2
_cell_length_a 4.2330
_cell_length_b 6.3793
_cell_length_c 6.7866
_cell_angle_alpha 93.11
_cell_angle_beta 95.50
_cell_angle_gamma 97.94
loop_
_space_group_symop_operation_xyz
'x,y,z'
'-x,-y,-z'
loop_
_atom_site_label
_atom_site_fract_x
_atom_site_fract_y
_atom_site_fract_z
Er1 0.0471 0.1308 0.2599
Se1 0.1838 0.3709 0.7836
O1 0.0062 0.8125 0.0682
O2 0.1165 0.4897 0.2839
O3 0.1551 0.1774 0.5890
F1 0.4495 0.8313 0.7638
```

The 10 most intense peaks (2θ from 10° to 90°), by intensity:
(hkl), two_theta, intensity
1 0 0, 21.31, 100.0
0 0 2, 26.45, 84.4
0 2 -1, 30.48, 51.6
0 2 1, 32.17, 50.0
1 -1 0, 23.83, 49.8
2 -1 0, 43.72, 34.0
1 0 -2, 32.37, 28.6
0 1 0, 14.05, 22.8
1 -1 2, 36.86, 20.0
-1 2 1, 35.60, 19.3

Entry 6:
For Er4Si3O11F2, a cell relaxed with GGA-PBE gives the simulated powder X-ray diffraction pattern in this record (Cu Kα (weighted mean of Kα1 and Kα2)).

Cell and atoms:
```
data_Er4Si3O11F2
_space_group_name_H-M_alt 'P -1'
_space_group_IT_number 2
_cell_length_a 6.4299
_cell_length_b 6.5480
_cell_length_c 13.1191
_cell_angle_alpha 87.46
_cell_angle_beta 85.76
_cell_angle_gamma 60.91
loop_
_space_group_symop_operation_xyz
'x,y,z'
'-x,-y,-z'
loop_
_atom_site_label
_atom_site_fract_x
_atom_site_fract_y
_atom_site_fract_z
Er1 0.0629 0.2248 0.4730
Er2 0.1802 0.1898 0.1711
Er3 0.2188 0.7124 0.0283
Er4 0.3251 0.8754 0.7024
Si1 0.2313 0.6527 0.2831
Si2 0.2683 0.2300 0.9204
Si3 0.4937 0.7498 0.4350
O1 0.0118 0.4414 0.8875
O2 0.0128 0.2140 0.6446
O3 0.1739 0.0912 0.0077
O4 0.2030 0.8255 0.1857
O5 0.2484 0.4084 0.5175
O6 0.2648 0.8355 0.5213
O7 0.3108 0.3853 0.2533
O8 0.4085 0.3395 0.9800
O9 0.4222 0.0468 0.8298
O10 0.4433 0.0030 0.3870
O11 0.4705 0.5926 0.3464
F1 0.0368 0.7663 0.6855
F2 0.2082 0.7562 0.8544
```

The 10 most intense peaks (2θ from 10° to 90°), by intensity:
(hkl), two_theta, intensity
1 1 4, 30.74, 100.0
1 1 -3, 26.80, 83.5
0 1 1, 16.85, 77.8
2 0 1, 32.24, 68.8
2 2 1, 32.35, 68.4
1 0 -2, 21.48, 66.7
0 2 0, 31.26, 53.5
1 0 3, 25.09, 45.0
1 2 0, 27.27, 42.0
0 2 1, 31.95, 40.5

Entry 7:
For ErPtF7, a cell relaxed with GGA-PBE gives the simulated powder X-ray diffraction pattern in this record (Cu Kα (weighted mean of Kα1 and Kα2)).

Cell and atoms:
```
data_ErPtF7
_space_group_name_H-M_alt 'P 1 21/c 1'
_space_group_IT_number 14
_cell_length_a 8.5480
_cell_length_b 5.2078
_cell_length_c 11.6592
_cell_angle_alpha 90.00
_cell_angle_beta 117.57
_cell_angle_gamma 90.00
loop_
_space_group_symop_operation_xyz
'x,y,z'
'-x,-y,-z'
'-x,y+1/2,-z+1/2'
'x,-y+1/2,z+1/2'
loop_
_atom_site_label
_atom_site_fract_x
_atom_site_fract_y
_atom_site_fract_z
Er1 0.1859 0.2358 0.2633
Pt1 0.2714 0.7417 0.0420
F1 0.0142 0.7494 0.4522
F2 0.0392 0.6128 0.7277
F3 0.2588 0.5700 0.1853
F4 0.2675 0.0883 0.4614
F5 0.2903 0.0624 0.1341
F6 0.3017 0.5763 0.4080
F7 0.4743 0.2067 0.3611
```

The 10 most intense peaks (2θ from 10° to 90°), by intensity:
(hkl), two_theta, intensity
1 1 -2, 23.21, 100.0
2 0 0, 23.48, 45.6
1 1 2, 30.36, 36.4
2 1 -6, 50.11, 24.4
0 2 0, 34.44, 19.9
2 1 -2, 27.74, 17.0
4 1 -6, 55.85, 15.3
1 0 -4, 30.97, 14.9
0 1 2, 24.26, 14.3
1 2 -4, 46.99, 13.3